# NbBr3O
Calculated powder diffractogram, copper Kα. Input: a structure optimized by DFT (PBE).

```
data_NbBr3O
_space_group_name_H-M_alt 'P -4 21 m'
_space_group_IT_number 113
_cell_length_a 11.933
_cell_length_b 11.933
_cell_length_c 4.001
_cell_angle_alpha 90.00
_cell_angle_beta 90.00
_cell_angle_gamma 90.00
loop_
_space_group_symop_operation_xyz
'x,y,z'
'y,-x,-z'
'-x,-y,z'
'-y,x,-z'
'x+1/2,-y+1/2,-z'
'y+1/2,x+1/2,z'
'-x+1/2,y+1/2,-z'
'-y+1/2,-x+1/2,z'
loop_
_atom_site_label
_atom_site_type_symbol
_atom_site_fract_x
_atom_site_fract_y
_atom_site_fract_z
Nb1 Nb 0.126 0.374 0.196
Br1 Br 0.101 0.601 0.255
Br2 Br 0.105 0.169 0.255
O1 O 0.120 0.380 0.747
```

The 6 most intense peaks (2θ from 10° to 90°), in order of rising 2θ:
2θ/deg  d [Å]  intensity
23.45  3.794  90
29.95  2.983  100
30.81  2.902  48
38.42  2.343  41
44.19  2.050  55
54.32  1.689  44

=====

# Ag5Au3S4
Calculated powder diffractogram, copper Kα. Input: a structure optimized by DFT (PBE).

```
data_Ag5Au3S4
_space_group_name_H-M_alt 'P 1'
_space_group_IT_number 1
_cell_length_a 4.636
_cell_length_b 4.813
_cell_length_c 13.625
_cell_angle_alpha 91.31
_cell_angle_beta 91.02
_cell_angle_gamma 110.53
loop_
_space_group_symop_operation_xyz
'x,y,z'
loop_
_atom_site_label
_atom_site_type_symbol
_atom_site_fract_x
_atom_site_fract_y
_atom_site_fract_z
Ag1 Ag 0.000 0.000 0.000
Ag2 Ag 0.059 0.833 0.207
Ag3 Ag 0.266 0.039 0.771
Ag4 Ag 0.445 0.416 0.153
Ag5 Ag 0.624 0.273 0.497
Au1 Au 0.150 0.536 0.896
Au2 Au 0.152 0.521 0.637
Au3 Au 0.180 0.513 0.377
S1 S 0.441 0.815 0.030
S2 S 0.493 0.734 0.513
S3 S 0.852 0.258 0.763
S4 S 0.893 0.277 0.237
```

The 6 most intense peaks (2θ from 10° to 90°), in order of rising 2θ:
2θ/deg  d [Å]  intensity
19.71  4.505  44
20.47  4.339  100
32.47  2.757  61
33.49  2.676  53
35.07  2.559  48
42.06  2.148  54

=====

# Mg6MnBi
Calculated powder diffractogram, copper Kα. Input: a structure optimized by DFT (PBE).

```
data_Mg6MnBi
_space_group_name_H-M_alt 'A m m 2'
_space_group_IT_number 38
_cell_length_a 5.076
_cell_length_b 6.413
_cell_length_c 11.031
_cell_angle_alpha 90.00
_cell_angle_beta 90.00
_cell_angle_gamma 90.00
loop_
_space_group_symop_operation_xyz
'x,y,z'
'-x,-y,z'
'-x,y,z'
'x,-y,z'
'x,y+1/2,z+1/2'
'-x,-y+1/2,z+1/2'
'-x,y+1/2,z+1/2'
'x,-y+1/2,z+1/2'
loop_
_atom_site_label
_atom_site_type_symbol
_atom_site_fract_x
_atom_site_fract_y
_atom_site_fract_z
Mg1 Mg 0.000 0.000 0.000
Mg2 Mg 0.000 0.236 0.744
Mg3 Mg 0.500 0.000 0.834
Mg4 Mg 0.500 0.244 0.581
Mn1 Mn 0.000 0.000 0.507
Bi1 Bi 0.500 0.000 0.338
```

The 6 most intense peaks (2θ from 10° to 90°), in order of rising 2θ:
2θ/deg  d [Å]  intensity
16.01  5.537  100
23.79  3.740  82
33.17  2.701  32
35.37  2.538  26
36.95  2.433  71
37.10  2.423  37

=====

# V4N3
Calculated powder diffractogram, copper Kα. Input: a structure optimized by DFT (PBE).

```
data_V4N3
_space_group_name_H-M_alt 'I 4/m m m'
_space_group_IT_number 139
_space_group_name_Hall '-I 4 2'
_cell_length_a 4.088
_cell_length_b 4.088
_cell_length_c 8.029
_cell_angle_alpha 90.00
_cell_angle_beta 90.00
_cell_angle_gamma 90.00
loop_
_atom_site_label
_atom_site_type_symbol
_atom_site_fract_x
_atom_site_fract_y
_atom_site_fract_z
V1 V 0.000 0.000 0.248
V2 V 0.000 0.500 0.000
N1 N 0.000 0.000 0.500
N2 N 0.000 0.500 0.250
```

The 6 most intense peaks (2θ from 10° to 90°), in order of rising 2θ:
2θ/deg  d [Å]  intensity
38.37  2.346  100
44.32  2.044  70
45.17  2.007  33
64.47  1.445  20
65.14  1.432  38
77.59  1.230  23

=====

# Sm2Si3Pt3
Calculated powder diffractogram, copper Kα. Input: a structure optimized by DFT (PBE).

```
data_Sm2Si3Pt3
_space_group_name_H-M_alt 'P 4/m m m'
_space_group_IT_number 123
_space_group_name_Hall '-P 4 2'
_cell_length_a 2.791
_cell_length_b 2.791
_cell_length_c 21.061
_cell_angle_alpha 90.00
_cell_angle_beta 90.00
_cell_angle_gamma 90.00
loop_
_atom_site_label
_atom_site_type_symbol
_atom_site_fract_x
_atom_site_fract_y
_atom_site_fract_z
Sm1 Sm 0.000 0.000 0.246
Si1 Si 0.000 0.000 0.000
Si2 Si 0.000 0.000 0.388
Pt1 Pt 0.000 0.000 0.113
Pt2 Pt 0.000 0.000 0.500
```

The 6 most intense peaks (2θ from 10° to 90°), in order of rising 2θ:
2θ/deg  d [Å]  intensity
12.61  7.020  60
32.07  2.791  100
34.05  2.633  35
45.99  1.974  37
47.48  1.915  56
58.45  1.579  32

=====

# Gd2TlZn
Calculated powder diffractogram, copper Kα. Input: a structure optimized by DFT (PBE).

```
data_Gd2TlZn
_space_group_name_H-M_alt 'F m -3 m'
_space_group_IT_number 225
_space_group_name_Hall '-F 4 2 3'
_cell_length_a 7.487
_cell_length_b 7.487
_cell_length_c 7.487
_cell_angle_alpha 90.00
_cell_angle_beta 90.00
_cell_angle_gamma 90.00
loop_
_atom_site_label
_atom_site_type_symbol
_atom_site_fract_x
_atom_site_fract_y
_atom_site_fract_z
Gd1 Gd 0.250 0.250 0.250
Tl1 Tl 0.000 0.000 0.000
Zn1 Zn 0.000 0.000 0.500
```

The 6 most intense peaks (2θ from 10° to 90°), in order of rising 2θ:
2θ/deg  d [Å]  intensity
20.55  4.323  11
33.86  2.647  100
48.65  1.872  18
60.59  1.528  38
71.25  1.324  12
81.27  1.184  16

=====

# Pu2ReB6
Calculated powder diffractogram, copper Kα. Input: a structure optimized by DFT (PBE).

```
data_Pu2ReB6
_space_group_name_H-M_alt 'P b a m'
_space_group_IT_number 55
_cell_length_a 9.298
_cell_length_b 11.427
_cell_length_c 3.654
_cell_angle_alpha 90.00
_cell_angle_beta 90.00
_cell_angle_gamma 90.00
loop_
_space_group_symop_operation_xyz
'x,y,z'
'-x,-y,-z'
'-x,-y,z'
'x,y,-z'
'x+1/2,-y+1/2,-z'
'-x+1/2,y+1/2,z'
'-x+1/2,y+1/2,-z'
'x+1/2,-y+1/2,z'
loop_
_atom_site_label
_atom_site_type_symbol
_atom_site_fract_x
_atom_site_fract_y
_atom_site_fract_z
Pu1 Pu 0.047 0.110 0.000
Pu2 Pu 0.167 0.409 0.000
Re1 Re 0.143 0.680 0.000
B1 B 0.014 0.283 0.500
B2 B 0.052 0.568 0.500
B3 B 0.138 0.962 0.500
B4 B 0.141 0.812 0.500
B5 B 0.200 0.228 0.500
B6 B 0.244 0.578 0.500
```

The 6 most intense peaks (2θ from 10° to 90°), in order of rising 2θ:
2θ/deg  d [Å]  intensity
24.36  3.654  100
29.87  2.991  45
30.34  2.946  39
38.91  2.315  54
39.28  2.294  46
41.30  2.186  40